The following is a calculated PXRD pattern of Ta3Br7. It was derived from the GGA-PBE geometry in the Materials Project, using Cu Ka.
Kinematic intensities with the Lorentz-polarization factor, no thermal factor.

abc: 9.9764 9.9764 11.8590
angles: 90.00 90.00 87.97
Element x y z (fractional)
1 Ta 0.0477 0.1599 0.8932
2 Ta 0.1190 0.8810 0.9147
3 Ta 0.1599 0.0477 0.1068
4 Ta 0.3401 0.4523 0.6068
5 Ta 0.3810 0.6190 0.4147
6 Ta 0.4523 0.3401 0.3932
7 Ta 0.5477 0.6599 0.6068
8 Ta 0.6190 0.3810 0.5853
9 Ta 0.6599 0.5477 0.3932
10 Ta 0.8401 0.9523 0.8932
11 Ta 0.8810 0.1190 0.0853
12 Ta 0.9523 0.8401 0.1068
13 Br 0.0308 0.2151 0.2428
14 Br 0.1050 0.6486 0.0136
15 Br 0.1135 0.3865 0.7500
16 Br 0.1378 0.8622 0.2628
17 Br 0.1486 0.6050 0.5136
18 Br 0.2151 0.0308 0.7572
19 Br 0.2478 0.2478 0.5000
20 Br 0.2522 0.2522 0.0000
21 Br 0.2849 0.4692 0.2572
22 Br 0.3514 0.8950 0.0136
23 Br 0.3622 0.6378 0.7628
24 Br 0.3865 0.1135 0.2500
25 Br 0.3950 0.8514 0.5136
26 Br 0.4692 0.2849 0.7428
27 Br 0.5308 0.7151 0.2572
28 Br 0.6050 0.1486 0.4864
29 Br 0.6135 0.8865 0.7500
30 Br 0.6378 0.3622 0.2372
31 Br 0.6486 0.1050 0.9864
32 Br 0.7151 0.5308 0.7428
33 Br 0.7478 0.7478 0.0000
34 Br 0.7522 0.7522 0.5000
35 Br 0.7849 0.9692 0.2428
36 Br 0.8514 0.3950 0.4864
37 Br 0.8622 0.1378 0.7372
38 Br 0.8865 0.6135 0.2500
39 Br 0.8950 0.3514 0.9864
40 Br 0.9692 0.7849 0.7572

Principal peaks in the range 15° ≤ 2θ ≤ 90°, sorted by position:
- 2θ 24.77, I = 232
- 2θ 29.87, I = 303
- 2θ 31.88, I = 233
- 2θ 34.42, I = 229
- 2θ 36.21, I = 1000
- 2θ 36.33, I = 304
- 2θ 39.03, I = 271
- 2θ 39.98, I = 254